Calculated X-ray diffraction stick pattern
Compound: TbLuH
Radiation: Cu Kα (λ = 1.5418 Å)
Structure: the GGA-PBE geometry in Alexandria
No peak broadening, texture or thermal motion is included.

Most intense lines, 2θ from 10° to 90°, sorted by position:
| 2θ (°) | I (rel.) | hkl |
| --- | --- | --- |
| 28.79 | 24 | 1 0 0 |
| 32.48 | 23 | 0 0 2 |
| 33.15 | 100 | 0 1 1 |
| 43.95 | 16 | 1 0 2 |
| 51.02 | 20 | 1 1 0 |
| 58.38 | 20 | 0 1 3 |
| 61.79 | 22 | 1 1 2 |
| 62.20 | 17 | 2 0 1 |
| 69.57 | 4 | 0 2 2 |
| 81.17 | 8 | 2 0 3 |
| 84.52 | 14 | 1 2 1 |
| 89.81 | 8 | 1 1 4 |

```
TbLuH
1.0
3.5804 0.0000 0.0000
-1.7902 3.1007 0.0000
0.0000 0.0000 5.5127
Tb Lu H
1 1 1
direct
0.0000 0.0000 0.0000 Tb
0.6667 0.3333 0.5086 Lu
0.3333 0.6667 0.7485 H
```